# Ac4La11Ho9
Computed powder XRD pattern, Cu Kα, 1.54184 Å. Input: the PBE geometry in Alexandria.
Kinematic intensities with the Lorentz-polarization factor, no thermal factor.

Most intense lines, 10° ≤ 2θ ≤ 80°, low angle first:
2theta  d_spacing  I_rel  h k l
29.50  3.028  100  4 6 0
34.08  2.631  18  8 0 0
34.24  2.619  32  0 6 1
49.09  1.856  19  8 6 1
49.20  1.852  14  0 0 2
58.21  1.585  10  12 6 0
58.41  1.580  29  4 6 2
61.21  1.514  12  8 0 2
79.61  1.204  5  12 6 2
79.79  1.202  6  4 18 0

Atomic structure:
Cell: 21.0414 22.2201 3.7043 Å, 90.00 90.00 90.00°
Space group Cmmm (No. 65)
Symmetry-distinct sites (fractional):
Ac 0.1371 0.0849 0.0000 x8
La 0.0000 0.1601 0.5000 x4
La 0.0000 0.3296 0.5000 x4
La 0.0000 0.5000 0.5000 x2
La 0.2319 0.5000 0.5000 x4
La 0.2421 0.3309 0.5000 x8
Ho 0.0000 0.0000 0.0000 x2
Ho 0.1173 0.4122 0.0000 x8
Ho 0.1229 0.2478 0.0000 x8